Record 1
Structure and computed powder XRD pattern of TiIrRu (a GGA-PBE-relaxed structure; Cu Kα X-rays).
Peak positions follow from Bragg's law for the DFT cell and can differ from measured ones.

Main lines, in order of falling intensity (2θ = 10–90°):
d_spacing  intensity
2.193  100
2.181  81
2.207  52
2.143  39
3.733  38
1.537  33
1.267  25
1.151  21
3.800  19
1.556  16

Structural model:
Unit cell a=4.2858 b=5.4208 c=7.6008 alpha=90.00 beta=90.00 gamma=90.00
Fractional positions:
Ti 0.0000 0.0000 0.1749
Ti 0.0000 0.0000 0.8251
Ti 0.5000 0.5000 0.3251
Ti 0.5000 0.5000 0.6749
Ir 0.0000 0.2487 0.5000
Ir 0.0000 0.7513 0.5000
Ir 0.5000 0.2513 0.0000
Ir 0.5000 0.7487 0.0000
Ru 0.0000 0.5000 0.1653
Ru 0.0000 0.5000 0.8347
Ru 0.5000 0.0000 0.3347
Ru 0.5000 0.0000 0.6653

---

Record 2
Structure and computed powder XRD pattern of TePd6 (a GGA-PBE-relaxed structure; Cu Kα X-rays).
Peak positions follow from Bragg's law for the DFT cell and can differ from measured ones.

Main lines, in order of falling intensity (2θ = 10–90°):
d_spacing  intensity
2.261  100
1.306  25
1.599  17
1.304  8
1.131  5
1.130  5

Structural model:
Unit cell a=6.9614 b=6.9614 c=6.9614 alpha=37.92 beta=37.92 gamma=37.92
Fractional positions:
Te 0.0000 0.0000 0.0000
Pd 0.1404 0.1404 0.1404
Pd 0.2877 0.2877 0.2877
Pd 0.4326 0.4326 0.4326
Pd 0.5674 0.5674 0.5674
Pd 0.7123 0.7123 0.7123
Pd 0.8596 0.8596 0.8596

---

Record 3
Structure and computed powder XRD pattern of KSr2YBr8 (a GGA-PBE-relaxed structure; Cu Kα X-rays).
Peak positions follow from Bragg's law for the DFT cell and can differ from measured ones.

Main lines, in order of falling intensity (2θ = 10–90°):
d_spacing  intensity
2.584  100
3.416  93
3.177  74
4.955  70
3.412  51
2.132  51
2.354  31
2.478  30
2.634  25
1.976  25

Structural model:
Unit cell a=6.8528 b=9.4156 c=7.1724 alpha=90.00 beta=90.07 gamma=90.00
Fractional positions:
K 0.0000 0.0000 0.0000
Sr 0.5000 0.2519 0.5000
Sr 0.5000 0.7481 0.5000
Y 0.0000 0.5000 0.0000
Br 0.2320 0.2855 0.1560
Br 0.2320 0.7145 0.1560
Br 0.2497 0.5000 0.6755
Br 0.2598 0.0000 0.6286
Br 0.7402 0.0000 0.3714
Br 0.7503 0.5000 0.3245
Br 0.7680 0.2855 0.8440
Br 0.7680 0.7145 0.8440

---

Record 4
Structure and computed powder XRD pattern of CsHo2As2S6 (a GGA-PBE-relaxed structure; Cu Kα X-rays).
Peak positions follow from Bragg's law for the DFT cell and can differ from measured ones.

Main lines, in order of falling intensity (2θ = 10–90°):
d_spacing  intensity
6.952  100
3.312  90
6.152  55
3.695  52
2.507  35
2.653  32
3.867  31
3.455  29
3.237  24
3.476  22

Structural model:
Unit cell a=7.3928 b=7.6743 c=8.0548 alpha=90.09 beta=116.40 gamma=118.11
Fractional positions:
Cs 0.0000 0.0000 0.0000
Ho 0.3679 0.6865 0.0279
Ho 0.6321 0.3135 0.9721
As 0.0059 0.6602 0.4423
As 0.9941 0.3398 0.5577
S 0.0896 0.6234 0.1990
S 0.2891 0.9198 0.7864
S 0.4087 0.5066 0.7599
S 0.5913 0.4934 0.2401
S 0.7109 0.0802 0.2136
S 0.9104 0.3766 0.8010

---

Record 5
Structure and computed powder XRD pattern of Sm3Ho2Tm8 (a GGA-PBE-relaxed structure; Cu Kα X-rays).
Peak positions follow from Bragg's law for the DFT cell and can differ from measured ones.

Main lines, in order of falling intensity (2θ = 10–90°):
d_spacing  intensity
2.876  100
2.492  68
2.882  34
1.761  32
1.503  28
1.501  19
1.764  16
1.505  10
1.114  9
1.440  8

Structural model:
Unit cell a=6.1017 b=6.1142 c=11.1337 alpha=89.93 beta=79.38 gamma=80.35
Fractional positions:
Sm 0.0000 0.0000 0.0000
Sm 0.2312 0.4620 0.0783
Sm 0.7688 0.5380 0.9217
Ho 0.3843 0.7695 0.4621
Ho 0.6157 0.2305 0.5379
Tm 0.0769 0.1527 0.6899
Tm 0.1537 0.3078 0.3862
Tm 0.3079 0.6134 0.7661
Tm 0.4624 0.9247 0.1566
Tm 0.5376 0.0753 0.8434
Tm 0.6921 0.3866 0.2339
Tm 0.8463 0.6922 0.6138
Tm 0.9231 0.8473 0.3101

---

Record 6
Structure and computed powder XRD pattern of Pm2Sm7Ho4 (a GGA-PBE-relaxed structure; Cu Kα X-rays).
Peak positions follow from Bragg's law for the DFT cell and can differ from measured ones.

Main lines, in order of falling intensity (2θ = 10–90°):
d_spacing  intensity
2.938  100
2.544  51
1.535  25
1.800  24
1.533  18
1.797  12
1.470  9
1.138  8
1.168  7
1.167  6

Structural model:
Unit cell a=6.2216 b=8.0482 c=9.5267 alpha=65.07 beta=83.78 gamma=82.61
Fractional positions:
Pm 0.1551 0.1922 0.3841
Pm 0.8449 0.8078 0.6159
Sm 0.0000 0.5000 0.0000
Sm 0.0755 0.3452 0.6937
Sm 0.2315 0.0381 0.0770
Sm 0.3861 0.7304 0.4617
Sm 0.6139 0.2696 0.5383
Sm 0.7685 0.9619 0.9230
Sm 0.9245 0.6548 0.3063
Ho 0.3071 0.8826 0.7713
Ho 0.4623 0.5762 0.1524
Ho 0.5377 0.4238 0.8476
Ho 0.6929 0.1174 0.2287

---

Record 7
Structure and computed powder XRD pattern of TbDy2Y4 (a GGA-PBE-relaxed structure; Cu Kα X-rays).
Peak positions follow from Bragg's law for the DFT cell and can differ from measured ones.

Main lines, in order of falling intensity (2θ = 10–90°):
d_spacing  intensity
2.838  100
2.865  47
2.734  45
2.716  40
2.983  34
1.505  29
1.598  20
7.272  19
3.448  19
1.893  17

Structural model:
Unit cell a=16.7335 b=3.5497 c=8.7372 alpha=90.00 beta=119.64 gamma=90.00
Fractional positions:
Tb 0.0000 0.0000 0.0000
Tb 0.5000 0.5000 0.0000
Dy 0.0699 0.0000 0.4299
Dy 0.4301 0.5000 0.5701
Dy 0.5699 0.5000 0.4299
Dy 0.9301 0.0000 0.5701
Y 0.1409 0.5000 0.8348
Y 0.2043 0.5000 0.2935
Y 0.2957 0.0000 0.7065
Y 0.3591 0.0000 0.1652
Y 0.6409 0.0000 0.8348
Y 0.7043 0.0000 0.2935
Y 0.7957 0.5000 0.7065
Y 0.8591 0.5000 0.1652

---

Record 8
Structure and computed powder XRD pattern of Tm3Te2H2 (a GGA-PBE-relaxed structure; Cu Kα X-rays).
Peak positions follow from Bragg's law for the DFT cell and can differ from measured ones.

Main lines, in order of falling intensity (2θ = 10–90°):
d_spacing  intensity
2.950  100
2.632  55
2.528  49
1.662  28
1.584  24
2.207  22
1.983  16
1.475  12
2.005  10
1.379  10

Structural model:
Unit cell a=3.9667 b=4.4138 c=8.7187 alpha=104.66 beta=103.13 gamma=90.01
Fractional positions:
Tm 0.0000 0.0000 0.0000
Tm 0.3833 0.3828 0.7651
Tm 0.6167 0.6172 0.2349
Te 0.1785 0.1790 0.3587
Te 0.8215 0.8210 0.6413
H 0.4999 0.2472 0.0000
H 0.5001 0.7528 0.0000